Entry 1:
For Sm7Er12Tl, a structure optimized by DFT (GGA-PBE) gives the theoretical powder diffractogram in this record (Cu Kα (λ = 1.5418 Å)).
Intensities are scaled so that the largest is 100.

Atomic structure:
Cell: 6.1336 9.3501 11.1552 Å, 83.24 79.60 89.93°
Fractional positions:
Sm 0.0000 0.0000 0.0000
Sm 0.2054 0.8012 0.3988
Sm 0.2447 0.2519 0.7507
Sm 0.3995 0.5995 0.7968
Sm 0.6005 0.4005 0.2032
Sm 0.7553 0.7481 0.2493
Sm 0.7946 0.1988 0.6012
Er 0.0532 0.4497 0.3535
Er 0.0955 0.9026 0.6984
Er 0.1495 0.3513 0.0537
Er 0.2997 0.6991 0.0975
Er 0.3489 0.1511 0.4508
Er 0.4503 0.0505 0.1525
Er 0.5497 0.9495 0.8475
Er 0.6511 0.8489 0.5492
Er 0.7003 0.3009 0.9025
Er 0.8505 0.6487 0.9463
Er 0.9045 0.0974 0.3016
Er 0.9468 0.5503 0.6465
Tl 0.5000 0.5000 0.5000

Main lines, most intense first (10 to 80 degrees two-theta):
two_theta, I_rel
30.98, 100
35.97, 34
51.73, 18
61.56, 18
35.84, 17
51.64, 12
61.46, 11
64.54, 9
61.36, 7
61.66, 7

Entry 2:
For Nd3GaRh3, a structure optimized by DFT (GGA-PBE) gives the theoretical powder diffractogram in this record (Cu Kα (λ = 1.5418 Å)).
Intensities are scaled so that the largest is 100.

Atomic structure:
Cell: 5.7406 5.7406 13.9459 Å, 90.00 90.00 137.52°
Fractional positions:
Nd 0.0194 0.9806 0.7500
Nd 0.2954 0.7046 0.6063
Nd 0.2954 0.7046 0.8937
Nd 0.7046 0.2954 0.1063
Nd 0.7046 0.2954 0.3937
Nd 0.9806 0.0194 0.2500
Ga 0.0000 0.0000 0.0000
Ga 0.0000 0.0000 0.5000
Rh 0.2588 0.7412 0.2500
Rh 0.4208 0.5792 0.0879
Rh 0.4208 0.5792 0.4121
Rh 0.5792 0.4208 0.5879
Rh 0.5792 0.4208 0.9121
Rh 0.7412 0.2588 0.7500

Main lines, most intense first (10 to 80 degrees two-theta):
two_theta, I_rel
38.48, 100
34.60, 72
38.79, 53
33.08, 48
43.52, 41
30.01, 39
59.69, 30
26.30, 26
34.12, 23
30.61, 21